# BaSrErCu3O7
Simulated X-ray diffraction stick pattern, λ = 1.5418 Å (Cu Kα). Input: a cell relaxed with PBE.
Neutral-atom scattering factors, no anomalous dispersion.

Crystal structure
Cell lengths 3.764, 3.896, 11.702 Å; angles 90.00, 90.00, 90.00 degrees
Positions (direct):
Ba1 0.000 0.000 0.000
Sr1 0.000 0.000 0.640
Er1 0.000 0.000 0.324
Cu1 0.500 0.500 0.177
Cu2 0.500 0.500 0.473
Cu3 0.500 0.500 0.815
O1 0.000 0.500 0.205
O2 0.000 0.500 0.442
O3 0.500 0.000 0.202
O4 0.500 0.000 0.447
O5 0.500 0.000 0.805
O6 0.500 0.500 0.655
O7 0.500 0.500 0.975

The 10 most intense peaks (2θ from 10° to 90°), by angle:
d_spacing	2theta	intensity	(hkl)
3.898	22.8	10	0 1 0
2.756	32.5	48	0 1 3
2.708	33.1	100	1 0 3
2.224	40.6	13	1 1 3
1.949	46.6	25	0 2 0
1.882	48.4	13	2 0 0
1.582	58.3	39	1 2 3
1.554	59.5	17	2 1 3
1.354	69.4	14	2 2 0
1.194	80.4	8	3 0 3